Entry 1:
Structure and computed powder diffraction line list of BaTiS3 (the PBE geometry in Alexandria; Cu Kα).

Structural model:
Lattice parameters (Å, degrees): 6.3800 6.4948 6.6868 90.00 109.24 90.00
Space group P2_1/m (No. 11)
Unique sites:
Ba1 0.1994 0.2500 0.3124
Ti1 0.4260 0.7500 0.0466
S1 0.1374 0.7500 0.1600
S2 0.3441 0.5107 0.7488

Peak list (10 most intense, 2θ from 10° to 80°, most intense first)
| two_theta | I (rel.) | (hkl) |
| --- | --- | --- |
| 28.30 | 100 | 2 0 -1 |
| 36.48 | 99 | 1 2 1 |
| 21.59 | 74 | 1 1 -1 |
| 31.52 | 71 | 0 1 2 |
| 32.30 | 50 | 1 2 -1 |
| 19.61 | 49 | 0 1 1 |
| 23.53 | 41 | 1 0 1 |
| 20.11 | 36 | 1 1 0 |
| 27.47 | 35 | 0 2 0 |
| 39.06 | 34 | 1 2 -2 |



Entry 2:
Structure and computed powder diffraction line list of BaTlCd3 (the PBE geometry in Alexandria; Cu Kα).

Structural model:
Lattice parameters (Å, degrees): 13.1979 6.7844 6.7844 90.00 90.00 90.00
Space group Pnna (No. 52)
Unique sites:
Ba1 0.2500 0.0000 0.9996
Tl1 0.9995 0.2500 0.2500
Cd1 0.0001 0.2500 0.7500
Cd2 0.1411 0.0004 0.4994

Peak list (10 most intense, 2θ from 10° to 80°, most intense first)
| two_theta | I (rel.) | (hkl) |
| --- | --- | --- |
| 29.61 | 100 | 2 2 0 |
| 37.49 | 50 | 0 2 2 |
| 32.95 | 37 | 4 1 1 |
| 38.05 | 33 | 4 2 0 |
| 62.86 | 23 | 2 4 2 |
| 50.76 | 21 | 4 3 1 |
| 54.07 | 17 | 0 4 0 |
| 69.10 | 13 | 8 2 2 |
| 13.42 | 12 | 2 0 0 |
| 68.02 | 11 | 4 4 2 |



Entry 3:
Structure and computed powder diffraction line list of Na2TaSe5 (the PBE geometry in Alexandria; Cu Kα).

Structural model:
Lattice parameters (Å, degrees): 5.5864 7.7782 12.7322 90.00 90.00 90.00
Space group Imm2 (No. 44)
Unique sites:
Na1 0.0000 0.0000 0.0000
Na2 0.0000 0.0000 0.4934
Ta1 0.0000 0.5000 0.2191
Se1 0.0000 0.5000 0.4061
Se2 0.2378 0.2398 0.6500

Peak list (10 most intense, 2θ from 10° to 80°, most intense first)
| two_theta | I (rel.) | (hkl) |
| --- | --- | --- |
| 13.91 | 100 | 0 0 2 |
| 13.34 | 99 | 0 1 1 |
| 39.73 | 47 | 2 2 0 |
| 17.33 | 42 | 1 0 1 |
| 26.86 | 34 | 0 2 2 |
| 28.84 | 34 | 1 2 1 |
| 19.56 | 32 | 1 1 0 |
| 24.09 | 31 | 1 1 2 |
| 48.92 | 25 | 0 2 6 |
| 28.03 | 25 | 0 0 4 |



Entry 4:
Structure and computed powder diffraction line list of Li2CdGeSe4 (the PBE geometry in Alexandria; Cu Kα).

Structural model:
Lattice parameters (Å, degrees): 8.2290 7.2543 6.8217 90.00 90.00 90.00
Space group Pmn2_1 (No. 31)
Unique sites:
Li1 0.2457 0.1747 0.0000
Cd1 0.0000 0.3514 0.4927
Ge1 0.0000 0.6730 0.9964
Se1 0.0000 0.3602 0.8886
Se2 0.0000 0.6925 0.3471
Se3 0.2320 0.8376 0.8754

Peak list (10 most intense, 2θ from 10° to 80°, most intense first)
| two_theta | I (rel.) | (hkl) |
| --- | --- | --- |
| 24.88 | 100 | 2 1 0 |
| 26.13 | 87 | 0 0 2 |
| 47.37 | 76 | 2 1 3 |
| 43.41 | 75 | 2 3 0 |
| 17.85 | 74 | 0 1 1 |
| 28.16 | 72 | 2 1 1 |
| 51.37 | 46 | 2 3 2 |
| 36.39 | 39 | 2 1 2 |
| 47.17 | 39 | 0 2 3 |
| 24.54 | 38 | 0 2 0 |